Ba4BiSbH: theoretical powder diffraction line list (Cu Kα (weighted mean of Kα1 and Kα2)), based on a PBE-relaxed structure.
Intensities are scaled so that the largest is 100.

The 6 most intense peaks (10° ≤ 2θ ≤ 90°), by intensity:
2θ 30.26, 2.953 Å, intensity 100, hkl 1 1 4; 2θ 25.50, 3.493 Å, intensity 87, hkl 1 1 2; 2θ 33.79, 2.652 Å, intensity 69, hkl 2 0 0; 2θ 28.74, 3.106 Å, intensity 42, hkl 1 0 5; 2θ 58.27, 1.583 Å, intensity 39, hkl 3 1 4; 2θ 55.58, 1.653 Å, intensity 35, hkl 1 0 11

Structural model:
Cell lengths 5.305, 5.305, 19.158 Å; angles 90.00, 90.00, 90.00 degrees
Space group I4mm (No. 107)
Unique sites:
1 Ba 0.000 0.000 0.000 (multiplicity 2)
2 Ba 0.000 0.000 0.360 (multiplicity 2)
3 Ba 0.000 0.500 0.174 (multiplicity 4)
4 Bi 0.000 0.000 0.811 (multiplicity 2)
5 Sb 0.000 0.000 0.544 (multiplicity 2)
6 H 0.000 0.000 0.151 (multiplicity 2)